1.
Starting from a cell relaxed with PBE+U, the powder diffractogram of Sr3Cr2Cu2S2O5 was calculated for copper Kα.
Lines closer than 0.1° are merged.

Peak list (8 most intense, 15 to 90 degrees two-theta, most intense first)
2θ 32.97, intensity 100, (1 0 7); 2θ 45.67, intensity 51, (2 0 0); 2θ 38.15, intensity 48, (1 1 6); 2θ 57.48, intensity 38, (2 1 7); 2θ 59.58, intensity 25, (1 1 14); 2θ 32.61, intensity 22, (1 1 2); 2θ 31.86, intensity 21, (1 1 0); 2θ 34.78, intensity 17, (1 1 4)

Crystal structure
```
data_Sr3Cr2Cu2S2O5
_cell_length_a 3.9726
_cell_length_b 3.9726
_cell_length_c 26.0607
_cell_angle_alpha 90.00
_cell_angle_beta 90.00
_cell_angle_gamma 90.00
_space_group_name_H-M_alt 'I 4/m m m'
_space_group_IT_number 139
_space_group_name_Hall '-I 4 2'
loop_
_atom_site_label
_atom_site_type_symbol
_atom_site_fract_x
_atom_site_fract_y
_atom_site_fract_z
_atom_site_occupancy
Sr1 Sr 0.0000 0.0000 0.0000 1
Sr2 Sr 0.0000 0.0000 0.1419 1
Cr1 Cr 0.0000 0.0000 0.4264 1
Cu1 Cu 0.0000 0.5000 0.2500 1
S1 S 0.0000 0.0000 0.3032 1
O1 O 0.0000 0.0000 0.5000 1
O2 O 0.0000 0.5000 0.0826 1
```

***

2.
Starting from a cell relaxed with PBE+U, the powder diffractogram of LiTiFeO4 was calculated for copper Kα.
Lines closer than 0.1° are merged.

Peak list (8 most intense, 15 to 90 degrees two-theta, most intense first)
2θ 18.34, intensity 100, (0 0 1); 2θ 35.48, intensity 91, (2 2 -1); 2θ 30.20, intensity 48, (1 1 1); 2θ 43.11, intensity 41, (2 2 -2); 2θ 62.79, intensity 39, (4 0 -4); 2θ 21.17, intensity 38, (1 1 -1); 2θ 57.00, intensity 34, (2 2 -3); 2θ 35.88, intensity 28, (4 0 -1)

Crystal structure
```
data_LiTiFeO4
_cell_length_a 10.1744
_cell_length_b 5.9493
_cell_length_c 5.9221
_cell_angle_alpha 90.00
_cell_angle_beta 125.24
_cell_angle_gamma 90.00
_space_group_name_H-M_alt 'C 1 m 1'
_space_group_IT_number 8
_space_group_name_Hall 'C -2y'
loop_
_atom_site_label
_atom_site_type_symbol
_atom_site_fract_x
_atom_site_fract_y
_atom_site_fract_z
_atom_site_occupancy
Li1 Li 0.0000 0.0000 0.0000 1
Li2 Li 0.1207 0.5000 0.8603 1
Ti1 Ti 0.2599 0.2587 0.5118 1
Fe1 Fe 0.3781 0.0000 0.1410 1
Fe2 Fe 0.4946 0.5000 0.4917 1
O1 O 0.0072 0.2352 0.2689 1
O2 O 0.2417 0.0000 0.7266 1
O3 O 0.2446 0.0000 0.2700 1
O4 O 0.2483 0.5000 0.7105 1
O5 O 0.2552 0.5000 0.2771 1
O6 O 0.4806 0.2681 0.7127 1
```